# Rb3Hg2F8
Calculated powder X-ray diffraction pattern, Cu Kα X-rays. Input: the PBE geometry in Alexandria.
No peak broadening, texture or thermal motion is included.

Crystal structure
a b c (Å): 8.811 8.811 8.811
angles (deg): 42.67 42.67 42.67
Positions (direct):
1 Rb 0.000 0.000 0.000
2 Rb 0.198 0.198 0.198
3 Rb 0.802 0.802 0.802
4 Hg 0.400 0.400 0.400
5 Hg 0.600 0.600 0.600
6 F 0.204 0.744 0.744
7 F 0.256 0.256 0.796
8 F 0.256 0.796 0.256
9 F 0.311 0.311 0.311
10 F 0.689 0.689 0.689
11 F 0.744 0.204 0.744
12 F 0.744 0.744 0.204
13 F 0.796 0.256 0.256

The 10 most intense peaks (10° ≤ 2θ ≤ 90°), in order of rising 2θ:
16.39 deg, d 5.410, intensity 25; 21.81 deg, d 4.074, intensity 20; 24.52 deg, d 3.630, intensity 100; 27.83 deg, d 3.206, intensity 94; 37.42 deg, d 2.403, intensity 47; 40.98 deg, d 2.202, intensity 39; 47.27 deg, d 1.923, intensity 39; 49.23 deg, d 1.851, intensity 19; 50.26 deg, d 1.815, intensity 18; 58.43 deg, d 1.580, intensity 25